For Hf2CuGe4, a GGA-PBE-relaxed structure gives the computed XRD peak list in this record (Cu Kα X-rays).
Intensities are scaled so that the largest is 100.

Structure:
abc: 16.6801 16.6801 3.7949
angles: 90.00 90.00 166.85
Fractional positions:
Hf (0.0473, 0.9527, 0.7500)
Hf (0.3223, 0.6777, 0.7500)
Hf (0.6777, 0.3223, 0.2500)
Hf (0.9527, 0.0473, 0.2500)
Cu (0.2501, 0.7499, 0.2500)
Cu (0.7499, 0.2501, 0.7500)
Ge (0.1133, 0.8867, 0.2500)
Ge (0.2014, 0.7986, 0.7500)
Ge (0.3871, 0.6129, 0.2500)
Ge (0.4721, 0.5279, 0.7500)
Ge (0.5279, 0.4721, 0.2500)
Ge (0.6129, 0.3871, 0.7500)
Ge (0.7986, 0.2014, 0.2500)
Ge (0.8867, 0.1133, 0.7500)

Largest 8 diffraction maxima, by angle, 2θ = 10–80°:
d (Å)	intensity
3.610	9
3.450	15
2.367	26
2.340	100
1.910	19
1.897	16
1.480	12
1.346	12